Computed X-ray diffraction stick pattern of Na8Zr6BBr20 for Cu Kα X-rays, from a structure optimized by DFT (GGA-PBE).

Structure:
```
Na8Zr6BBr20
1.0
0.0000 7.9464 7.9464
7.9464 0.0000 7.9464
7.9464 7.9464 0.0000
Na Zr B Br
8 6 1 20
Cartesian
2.2179 2.2179 2.2179
5.7285 5.7285 2.2179
5.7285 2.2179 5.7285
13.6750 10.1643 10.1643
2.2179 5.7285 5.7285
10.1643 13.6750 10.1643
10.1643 10.1643 13.6750
13.6750 13.6750 13.6750
7.9464 7.9464 5.6268
7.9464 5.6268 7.9464
10.2661 7.9464 7.9464
5.6268 7.9464 7.9464
7.9464 10.2661 7.9464
7.9464 7.9464 10.2661
7.9464 7.9464 7.9464
7.9464 5.2446 5.2446
10.6483 7.9464 5.2446
10.6483 5.2446 7.9464
7.9464 7.9464 2.7461
7.9464 2.7461 7.9464
13.1468 7.9464 7.9464
3.9732 3.9732 3.9732
5.2446 7.9464 5.2446
7.9464 10.6483 5.2446
5.2446 5.2446 7.9464
10.6483 10.6483 7.9464
7.9464 5.2446 10.6483
10.6483 7.9464 10.6483
11.9197 11.9197 11.9197
2.7461 7.9464 7.9464
7.9464 13.1468 7.9464
7.9464 7.9464 13.1468
5.2446 10.6483 7.9464
5.2446 7.9464 10.6483
7.9464 10.6483 10.6483
```

Top 10 peaks for 5 to 70 degrees two-theta, in order of rising 2θ:
| d/Å | I (rel.) |
| --- | --- |
| 9.176 | 47 |
| 7.946 | 35 |
| 3.554 | 25 |
| 3.059 | 55 |
| 2.686 | 25 |
| 2.649 | 100 |
| 2.513 | 28 |
| 1.873 | 65 |
| 1.597 | 21 |
| 1.529 | 17 |

---

Computed X-ray diffraction stick pattern of LiIrRh for Cu Kα X-rays, from a structure optimized by DFT (GGA-PBE).

Structure:
```
LiIrRh
1.0
5.5251 0.0000 0.0000
0.0000 5.5251 0.0000
0.0000 0.0000 5.5251
Li Ir Rh
4 4 4
Cartesian
0.0000 0.0000 0.0000
0.0000 2.7625 2.7625
2.7625 0.0000 2.7625
2.7625 2.7625 0.0000
1.3813 1.3813 1.3813
1.3813 4.1438 4.1438
4.1438 1.3813 4.1438
4.1438 4.1438 1.3813
1.3813 1.3813 4.1438
1.3813 4.1438 1.3813
4.1438 1.3813 1.3813
4.1438 4.1438 4.1438
```

Top 6 peaks for 5 to 70 degrees two-theta, in order of rising 2θ:
| d/Å | I (rel.) |
| --- | --- |
| 3.190 | 16 |
| 2.763 | 100 |
| 1.953 | 79 |
| 1.666 | 8 |
| 1.595 | 26 |
| 1.381 | 13 |